No. 1
Simulated powder X-ray diffraction pattern of BaU2As2O22 for Cu Kα, from the PBE geometry in the Materials Project.

Lattice parameters (Å, degrees): 7.2311 7.1816 19.7524 90.00 107.19 90.00
Positions (direct):
Ba 0.0000 0.0103 0.2500
Ba 0.0000 0.9897 0.7500
U 0.2080 0.2515 0.9479
U 0.2080 0.7485 0.4479
U 0.7920 0.2515 0.5521
U 0.7920 0.7485 0.0521
As 0.2471 0.2484 0.4990
As 0.2471 0.7516 0.9990
As 0.7529 0.2484 0.0010
As 0.7529 0.7516 0.5010
O 0.1039 0.2144 0.5535
O 0.1039 0.7856 0.0535
O 0.1267 0.2355 0.8479
O 0.1267 0.7645 0.3479
O 0.1320 0.3571 0.2170
O 0.1320 0.6429 0.7170
O 0.1733 0.4402 0.4455
O 0.1733 0.5598 0.9455
O 0.2228 0.4854 0.7383
O 0.2228 0.5146 0.2383
O 0.2307 0.0635 0.4419
O 0.2307 0.9365 0.9419
O 0.2814 0.2568 0.0440
O 0.2814 0.7432 0.5440
O 0.3627 0.0503 0.1703
O 0.3627 0.9497 0.6703
O 0.3873 0.4942 0.7857
O 0.3873 0.5058 0.2857
O 0.4702 0.0964 0.3254
O 0.4702 0.9036 0.8254
O 0.4813 0.2765 0.5518
O 0.4813 0.7235 0.0518
O 0.5187 0.2765 0.9482
O 0.5187 0.7235 0.4482
O 0.5298 0.0964 0.1746
O 0.5298 0.9036 0.6746
O 0.6127 0.4942 0.7143
O 0.6127 0.5058 0.2143
O 0.6373 0.0503 0.3297
O 0.6373 0.9497 0.8297
O 0.7186 0.2568 0.4560
O 0.7186 0.7432 0.9560
O 0.7693 0.0635 0.0581
O 0.7693 0.9365 0.5581
O 0.7772 0.4854 0.7617
O 0.7772 0.5146 0.2617
O 0.8267 0.4402 0.0545
O 0.8267 0.5598 0.5545
O 0.8680 0.3571 0.2830
O 0.8680 0.6429 0.7830
O 0.8733 0.2355 0.6521
O 0.8733 0.7645 0.1521
O 0.8961 0.2144 0.9465
O 0.8961 0.7856 0.4465

Largest 10 diffraction maxima, by intensity, 15° ≤ 2θ ≤ 90°:
| Position (°2θ) | I/Imax |
| --- | --- |
| 18.78 | 100 |
| 26.56 | 86 |
| 24.69 | 56 |
| 25.81 | 48 |
| 17.43 | 39 |
| 43.10 | 29 |
| 36.08 | 28 |
| 26.68 | 26 |
| 19.39 | 26 |
| 27.47 | 25 |



No. 2
Simulated powder X-ray diffraction pattern of NiAgTe2 for Cu Kα, from the PBE geometry in the Materials Project.

Lattice parameters (Å, degrees): 7.4096 7.4096 7.4096 31.36 31.36 31.36
Positions (direct):
Ni 0.0000 0.0000 0.0000
Ag 0.8542 0.8542 0.8542
Te 0.2699 0.2699 0.2699
Te 0.7262 0.7262 0.7262

Largest 10 diffraction maxima, by intensity, 15° ≤ 2θ ≤ 90°:
| Position (°2θ) | I/Imax |
| --- | --- |
| 39.59 | 100 |
| 27.06 | 99 |
| 45.29 | 84 |
| 30.85 | 46 |
| 26.04 | 38 |
| 43.06 | 36 |
| 33.43 | 29 |
| 61.69 | 26 |
| 79.76 | 24 |
| 60.81 | 19 |



No. 3
Simulated powder X-ray diffraction pattern of MgAgMoH4S4N for Cu Kα, from the PBE geometry in the Materials Project.

Lattice parameters (Å, degrees): 6.3524 6.3524 7.6596 126.87 126.87 63.35
Positions (direct):
Mg 0.0000 0.0000 0.0000
Ag 0.7446 0.2554 0.5000
Mo 0.2453 0.7547 0.5000
H 0.3635 0.5186 0.0417
H 0.4814 0.6365 0.9583
H 0.4857 0.3140 0.8416
H 0.6860 0.5143 0.1584
S 0.1680 0.0936 0.4274
S 0.2494 0.3452 0.1661
S 0.6548 0.7506 0.8339
S 0.9064 0.8320 0.5726
N 0.5042 0.4958 0.0000

Largest 10 diffraction maxima, by intensity, 15° ≤ 2θ ≤ 90°:
| Position (°2θ) | I/Imax |
| --- | --- |
| 16.36 | 100 |
| 31.49 | 61 |
| 46.30 | 54 |
| 23.21 | 45 |
| 35.69 | 39 |
| 32.98 | 16 |
| 33.14 | 16 |
| 29.27 | 16 |
| 53.35 | 11 |
| 53.59 | 11 |



No. 4
Simulated powder X-ray diffraction pattern of RbSnS2 for Cu Kα, from the PBE geometry in the Materials Project.

Lattice parameters (Å, degrees): 8.0535 8.0535 8.0535 29.36 29.36 29.36
Positions (direct):
Rb 0.0000 0.0000 0.0000
Sn 0.5000 0.5000 0.5000
S 0.2306 0.2306 0.2306
S 0.7694 0.7694 0.7694

Largest 10 diffraction maxima, by intensity, 15° ≤ 2θ ≤ 90°:
| Position (°2θ) | I/Imax |
| --- | --- |
| 29.63 | 100 |
| 26.36 | 37 |
| 40.33 | 36 |
| 44.38 | 34 |
| 23.10 | 21 |
| 50.60 | 20 |
| 54.27 | 18 |
| 72.62 | 15 |
| 46.98 | 14 |
| 66.79 | 13 |



No. 5
Simulated powder X-ray diffraction pattern of CsHg for Cu Kα, from the PBE geometry in the Materials Project.

Lattice parameters (Å, degrees): 7.4607 7.7377 7.8735 107.05 104.44 92.98
Positions (direct):
Cs 0.1861 0.2900 0.1367
Cs 0.2606 0.8432 0.5537
Cs 0.7394 0.1568 0.4463
Cs 0.8139 0.7100 0.8633
Hg 0.3130 0.3968 0.7162
Hg 0.3687 0.7512 0.0544
Hg 0.6313 0.2488 0.9456
Hg 0.6869 0.6032 0.2838

Largest 10 diffraction maxima, by intensity, 15° ≤ 2θ ≤ 90°:
| Position (°2θ) | I/Imax |
| --- | --- |
| 24.29 | 100 |
| 30.60 | 93 |
| 29.89 | 61 |
| 24.88 | 43 |
| 28.67 | 42 |
| 28.83 | 39 |
| 30.30 | 33 |
| 32.75 | 28 |
| 27.16 | 27 |
| 17.68 | 23 |



Number 4 is which compound? RbSnS2